Theoretical powder X-ray diffraction pattern of Li4Fe3WO8 for Cu Ka, from a crystal structure in the Materials Project, relaxed with GGA+U.
Peak positions follow from Bragg's law for the DFT cell and can differ from measured ones.

Main lines, sorted by position (2θ from 10° to 80°):
Position (°2θ)	d [Å]	I_rel
17.63	5.031	44
18.11	4.898	100
20.52	4.327	26
34.04	2.634	55
35.70	2.515	27
41.75	2.164	69
45.85	1.979	21
59.84	1.546	21

Structure:
```
Li4Fe3WO8
1.0
3.0913 1.7847 4.8983
-3.0913 1.7847 4.8983
0.0000 -3.5695 4.8983
Li Fe W O
4 3 1 8
Direct
0.0000 0.0000 0.0000
0.0000 0.5000 0.5000
0.5000 0.0000 0.5000
0.5000 0.5000 0.0000
0.0000 0.0000 0.5000
0.0000 0.5000 0.0000
0.5000 0.0000 0.0000
0.5000 0.5000 0.5000
0.2359 0.2359 0.2359
0.2719 0.2719 0.7175
0.2719 0.7175 0.2719
0.2825 0.7281 0.7281
0.7175 0.2719 0.2719
0.7281 0.2825 0.7281
0.7281 0.7281 0.2825
0.7641 0.7641 0.7641
```